# 1
The following is a simulated powder XRD pattern of La5Y8Sc. It was derived from the GGA-PBE geometry in Alexandria, using CuKα.
No peak broadening, texture or thermal motion is included.

Structure:
```
La5Y8Sc
1.0
7.7738 -4.3229 0.0000
7.7738 4.3229 0.0000
-4.7201 0.0000 7.1901
La Y Sc
5 8 1
Cartesian
0.0000 0.0000 0.0000
3.5479 1.3649 5.3210
7.2796 1.3649 1.8691
6.0650 -1.4391 0.2698
4.7624 -1.4391 6.9203
0.2770 2.0016 6.5968
-1.1300 -0.5428 4.8391
3.8269 0.4187 2.1703
10.5504 2.0016 0.5933
2.1771 -2.1875 4.1035
7.0005 0.4187 5.0198
11.9574 -0.5428 2.3510
8.6504 -2.1875 3.0866
5.4137 -2.0793 3.5950
```

The 6 most intense peaks (10° ≤ 2θ ≤ 80°), in order of rising 2θ:
29.29°, I = 294
31.01°, I = 1000
31.21°, I = 729
31.80°, I = 258
32.00°, I = 330
32.77°, I = 204


# 2
The following is a simulated powder XRD pattern of MgH3Pt. It was derived from the GGA-PBE geometry in Alexandria, using CuKα.
No peak broadening, texture or thermal motion is included.

Structure:
```
MgH3Pt
1.0
5.5645 0.0000 0.0000
0.0000 2.8605 0.0000
0.0000 0.0000 6.1810
Mg H Pt
2 6 2
Cartesian
1.3911 0.0000 0.8596
4.1734 0.0000 5.3214
0.2675 1.4302 1.7417
1.3911 0.0000 3.5599
2.5147 1.4302 1.7417
3.0498 1.4302 4.4393
4.1734 0.0000 2.6211
5.2969 1.4302 4.4393
1.3911 1.4302 4.6198
4.1734 1.4302 1.5612
```

The 6 most intense peaks (10° ≤ 2θ ≤ 80°), in order of rising 2θ:
21.49°, I = 1000
28.89°, I = 327
32.17°, I = 296
38.26°, I = 700
43.09°, I = 206
43.78°, I = 205


# 3
The following is a simulated powder XRD pattern of Cs3Sr2Br2Cl5. It was derived from the GGA-PBE geometry in Alexandria, using CuKα.
No peak broadening, texture or thermal motion is included.

Structure:
```
Cs3Sr2Br2Cl5
1.0
-2.8571 2.8571 14.9052
2.8571 -2.8571 14.9052
2.8571 2.8571 -14.9052
Cs Sr Br Cl
3 2 2 5
Cartesian
0.0000 0.0000 0.0000
0.0000 0.0000 5.3864
0.0000 0.0000 24.4241
0.0000 0.0000 12.0242
0.0000 0.0000 17.7863
0.0000 0.0000 8.9904
0.0000 0.0000 20.8201
2.8571 0.0000 2.8094
2.8571 0.0000 12.0958
0.0000 0.0000 14.9052
0.0000 2.8571 2.8094
0.0000 2.8571 12.0958
```

The 6 most intense peaks (10° ≤ 2θ ≤ 80°), in order of rising 2θ:
21.54°, I = 533
22.00°, I = 975
28.47°, I = 500
31.30°, I = 1000
43.89°, I = 419
44.85°, I = 399